# AlOF
Calculated powder diffraction line list, Cu Ka. Input: DFT lattice parameters and positions (PBE).
Kinematic intensities with the Lorentz-polarization factor, no thermal factor.

Atomic structure:
Cell: 9.0698 8.6398 4.9245 Å, 90.00 90.00 90.00°
Positions (direct):
Al1 0.0756 0.2500 0.1253
Al2 0.1325 0.5730 0.4391
Al3 0.1325 0.9270 0.4391
Al4 0.3675 0.0730 0.9391
Al5 0.3675 0.4270 0.9391
Al6 0.4244 0.7500 0.6253
Al7 0.5756 0.2500 0.3747
Al8 0.6325 0.5730 0.0609
Al9 0.6325 0.9270 0.0609
Al10 0.8675 0.0730 0.5609
Al11 0.8675 0.4270 0.5609
Al12 0.9244 0.7500 0.8747
O1 0.0168 0.0866 0.3072
O2 0.0168 0.4134 0.3072
O3 0.2344 0.7500 0.5372
O4 0.2656 0.2500 0.0372
O5 0.4832 0.5866 0.8072
O6 0.4832 0.9134 0.8072
O7 0.5168 0.0866 0.1928
O8 0.5168 0.4134 0.1928
O9 0.7344 0.7500 0.9628
O10 0.7656 0.2500 0.4628
O11 0.9832 0.5866 0.6928
O12 0.9832 0.9134 0.6928
F1 0.0199 0.7500 0.1952
F2 0.2455 0.5558 0.1275
F3 0.2455 0.9442 0.1275
F4 0.2545 0.0558 0.6275
F5 0.2545 0.4442 0.6275
F6 0.4801 0.2500 0.6952
F7 0.5199 0.7500 0.3048
F8 0.7455 0.5558 0.3725
F9 0.7455 0.9442 0.3725
F10 0.7545 0.0558 0.8725
F11 0.7545 0.4442 0.8725
F12 0.9801 0.2500 0.8048

The 10 most intense peaks (2θ = 10–80°), sorted by position:
d (Å)  2θ/deg  intensity
4.326  20.5  37
3.869  23.0  80
3.336  26.7  65
3.128  28.5  32
3.057  29.2  100
2.431  37.0  43
2.180  41.4  68
1.746  52.4  37
1.465  63.5  34
1.440  64.7  33